Simulated powder X-ray diffraction pattern
Compound: PaTlCr2O8
Radiation: Cu Kα, 1.54184 Å
Structure: the PBE+U geometry in Alexandria
No peak broadening, texture or thermal motion is included.

Cell: 5.8520 5.8520 7.8723 Å, 90.00 90.00 120.00°
Space group P-3m1 (No. 164)
Inequivalent atoms, fractional coordinates:
Pa: 0.0000 0.0000 0.0000 (multiplicity 1)
Tl: 0.0000 0.0000 0.5000 (multiplicity 1)
Cr: 0.3333 0.6667 0.7552 (multiplicity 2)
O: 0.1709 0.3417 0.8347 (multiplicity 6)
O: 0.3333 0.6667 0.5477 (multiplicity 2)

Principal peaks in the range 15 to 90 degrees two-theta, most intense first:
| 2θ (°) | d_spacing | Rel. int. |
| --- | --- | --- |
| 17.5 | 5.068 | 100 |
| 28.7 | 3.109 | 98 |
| 30.6 | 2.926 | 57 |
| 42.4 | 2.131 | 40 |
| 53.2 | 1.722 | 36 |
| 38.3 | 2.348 | 28 |
| 56.3 | 1.633 | 22 |
| 20.8 | 4.261 | 21 |
| 59.5 | 1.553 | 18 |
| 47.5 | 1.916 | 17 |